Li7Mn2Co3O12: simulated powder diffractogram (Cu Kα), based on a cell relaxed with PBE+U.

Principal peaks in the range 2θ from 15° to 90°, in order of falling intensity:
18.3°, d = 4.840 Å, I 100, (0 1 0)
43.2°, d = 2.094 Å, I 28, (-1 1 3)
43.5°, d = 2.080 Å, I 28, (1 -2 3)
43.9°, d = 2.060 Å, I 27, (2 1 0)
63.3°, d = 1.470 Å, I 15, (0 1 -6)
35.8°, d = 2.511 Å, I 13, (1 0 -3)
36.2°, d = 2.480 Å, I 12, (2 0 0)
36.0°, d = 2.498 Å, I 12, (1 -1 3)
80.3°, d = 1.196 Å, I 10, (4 -2 0)
37.6°, d = 2.392 Å, I 10, (2 -1 0)
62.7°, d = 1.481 Å, I 7, (2 -3 0)
63.6°, d = 1.462 Å, I 7, (3 0 -3)

```
data_Li7Mn2Co3O12
_chemical_formula_sum 'Li7 Mn2 Co3 O12'
_space_group_name_H-M_alt 'P 1'
_space_group_IT_number 1
_space_group_name_Hall 'P 1'
_cell_length_a 5.0448
_cell_length_b 5.1285
_cell_length_c 8.8190
_cell_angle_alpha 106.30
_cell_angle_beta 90.24
_cell_angle_gamma 99.99
loop_
_atom_site_label
_atom_site_type_symbol
_atom_site_fract_x
_atom_site_fract_y
_atom_site_fract_z
Li1 Li 0.0000 0.0000 0.0000
Li2 Li 0.0025 0.0083 0.3409
Li3 Li 0.0056 0.0028 0.6677
Li4 Li 0.2506 0.4976 0.5851
Li5 Li 0.4945 0.0001 0.5088
Li6 Li 0.5002 0.0042 0.1723
Li7 Li 0.5043 0.9885 0.8244
Mn1 Mn 0.2510 0.5046 0.2550
Mn2 Mn 0.7487 0.4942 0.7483
Co1 Co 0.2490 0.5021 0.9085
Co2 Co 0.7501 0.5013 0.4275
Co3 Co 0.7520 0.5015 0.0857
O1 O 0.1134 0.7243 0.4421
O2 O 0.1131 0.7256 0.8010
O3 O 0.1211 0.7230 0.1294
O4 O 0.3742 0.2856 0.0536
O5 O 0.3873 0.2821 0.3677
O6 O 0.3964 0.2659 0.7206
O7 O 0.6041 0.7326 0.2882
O8 O 0.6326 0.7251 0.9501
O9 O 0.6455 0.7271 0.6331
O10 O 0.8584 0.2674 0.5561
O11 O 0.8710 0.2719 0.8764
O12 O 0.8937 0.2739 0.2117
```

Li2MnCoO4: simulated powder diffractogram (Cu Kα), based on a cell relaxed with PBE+U.

Principal peaks in the range 2θ from 15° to 90°, in order of falling intensity:
18.2°, d = 4.875 Å, I 100, (1 0 -1)
42.0°, d = 2.151 Å, I 59, (2 1 0)
34.7°, d = 2.583 Å, I 33, (1 1 1)
44.7°, d = 2.028 Å, I 24, (0 0 4)
36.8°, d = 2.441 Å, I 14, (2 0 -2)
63.3°, d = 1.469 Å, I 14, (2 1 4)
62.7°, d = 1.481 Å, I 14, (2 1 -4)
36.6°, d = 2.458 Å, I 11, (1 0 3)
55.7°, d = 1.651 Å, I 9, (3 1 -1)
47.2°, d = 1.926 Å, I 9, (1 1 -3)
60.5°, d = 1.530 Å, I 8, (0 2 0)
61.3°, d = 1.512 Å, I 8, (4 0 0)

```
data_Li2MnCoO4
_chemical_formula_sum 'Li4 Mn2 Co2 O8'
_space_group_name_H-M_alt 'P 1 21/m 1'
_space_group_IT_number 11
_space_group_name_Hall '-P 2yb'
_cell_length_a 6.0479
_cell_length_b 3.0595
_cell_length_c 8.1110
_cell_angle_alpha 90.00
_cell_angle_beta 90.65
_cell_angle_gamma 90.00
loop_
_atom_site_label
_atom_site_type_symbol
_atom_site_fract_x
_atom_site_fract_y
_atom_site_fract_z
Li1 Li 0.1235 0.2500 0.1261
Li2 Li 0.3734 0.7500 0.3764
Mn1 Mn 0.3730 0.7500 0.8754
Co1 Co 0.1225 0.2500 0.6241
O1 O 0.1154 0.2500 0.3863
O2 O 0.1302 0.2500 0.8632
O3 O 0.3628 0.7500 0.6363
O4 O 0.3821 0.7500 0.1128
```

Li7Mn4CoO12: simulated powder diffractogram (Cu Kα), based on a cell relaxed with PBE+U.

Principal peaks in the range 2θ from 15° to 90°, in order of falling intensity:
18.5°, d = 4.799 Å, I 100, (1 0 0)
44.5°, d = 2.036 Å, I 51, (1 3 1)
42.0°, d = 2.151 Å, I 30, (2 0 -2)
36.5°, d = 2.460 Å, I 24, (0 3 1)
62.8°, d = 1.480 Å, I 15, (1 3 -3)
62.9°, d = 1.477 Å, I 14, (3 3 -1)
34.9°, d = 2.574 Å, I 13, (1 0 -2)
65.2°, d = 1.430 Å, I 11, (0 6 0)
58.7°, d = 1.573 Å, I 9, (2 3 1)
21.2°, d = 4.192 Å, I 8, (1 1 0)
47.6°, d = 1.910 Å, I 7, (2 3 -1)
64.3°, d = 1.449 Å, I 7, (2 0 2)

```
data_Li7Mn4CoO12
_chemical_formula_sum 'Li7 Mn4 Co1 O12'
_space_group_name_H-M_alt 'P 1 2/m 1'
_space_group_IT_number 10
_space_group_name_Hall '-P 2y'
_cell_length_a 5.1777
_cell_length_b 8.5813
_cell_length_c 5.1958
_cell_angle_alpha 90.00
_cell_angle_beta 112.07
_cell_angle_gamma 90.00
loop_
_atom_site_label
_atom_site_type_symbol
_atom_site_fract_x
_atom_site_fract_y
_atom_site_fract_z
Li1 Li 0.0000 0.0000 0.0000
Li2 Li 0.0000 0.1599 0.5000
Li3 Li 0.0000 0.3323 0.0000
Li4 Li 0.0000 0.5000 0.5000
Li5 Li 0.5000 0.0000 0.5000
Mn1 Mn 0.5000 0.1672 0.0000
Mn2 Mn 0.5000 0.3295 0.5000
Co1 Co 0.5000 0.5000 0.0000
O1 O 0.2630 0.3330 0.7755
O2 O 0.2656 0.0000 0.7800
O3 O 0.2862 0.1733 0.2396
O4 O 0.2911 0.5000 0.2494
```

Li4MnCo3O8: simulated powder diffractogram (Cu Kα), based on a cell relaxed with PBE+U.

Principal peaks in the range 2θ from 15° to 90°, in order of falling intensity:
18.3°, d = 4.848 Å, I 100, (4 0 0)
43.8°, d = 2.065 Å, I 48, (5 1 1)
42.9°, d = 2.110 Å, I 26, (6 0 -2)
36.1°, d = 2.485 Å, I 26, (1 1 1)
35.6°, d = 2.522 Å, I 15, (2 0 -2)
37.6°, d = 2.394 Å, I 14, (2 0 2)
62.6°, d = 1.483 Å, I 14, (11 1 -1)
63.3°, d = 1.468 Å, I 14, (1 1 -3)
47.4°, d = 1.918 Å, I 10, (7 1 -1)
57.7°, d = 1.597 Å, I 10, (9 1 1)
64.0°, d = 1.454 Å, I 7, (0 2 0)
63.4°, d = 1.466 Å, I 6, (10 0 2)

```
data_Li4MnCo3O8
_chemical_formula_sum 'Li8 Mn2 Co6 O16'
_space_group_name_H-M_alt 'C 1 2/m 1'
_space_group_IT_number 12
_space_group_name_Hall '-C 2y'
_cell_length_a 19.5083
_cell_length_b 2.9087
_cell_length_c 5.1038
_cell_angle_alpha 90.00
_cell_angle_beta 96.21
_cell_angle_gamma 90.00
loop_
_atom_site_label
_atom_site_type_symbol
_atom_site_fract_x
_atom_site_fract_y
_atom_site_fract_z
Li1 Li 0.1255 0.0000 0.3825
Li2 Li 0.1267 0.5000 0.8656
Mn1 Mn 0.0000 0.0000 0.0000
Co1 Co 0.0000 0.5000 0.5000
Co2 Co 0.2504 0.0000 0.7504
O1 O 0.0529 0.5000 0.1908
O2 O 0.0565 0.0000 0.6620
O3 O 0.1917 0.0000 0.0671
O4 O 0.1928 0.5000 0.5684
```

Li7Mn2Co3O12: simulated powder diffractogram (Cu Kα), based on a cell relaxed with PBE+U.

Principal peaks in the range 2θ from 15° to 90°, in order of falling intensity:
18.4°, d = 4.834 Å, I 100, (0 1 1)
43.0°, d = 2.103 Å, I 28, (-1 1 4)
43.2°, d = 2.092 Å, I 28, (0 2 -4)
35.6°, d = 2.521 Å, I 27, (0 1 -5)
44.4°, d = 2.039 Å, I 25, (1 1 4)
36.7°, d = 2.452 Å, I 11, (1 0 3)
62.8°, d = 1.479 Å, I 8, (1 -3 0)
62.4°, d = 1.487 Å, I 7, (1 1 -8)
64.2°, d = 1.451 Å, I 7, (2 0 0)
62.9°, d = 1.477 Å, I 7, (0 2 8)
64.1°, d = 1.453 Å, I 7, (1 -1 8)
63.4°, d = 1.467 Å, I 7, (1 3 0)

```
data_Li7Mn2Co3O12
_chemical_formula_sum 'Li7 Mn2 Co3 O12'
_space_group_name_H-M_alt 'P -1'
_space_group_IT_number 2
_space_group_name_Hall '-P 1'
_cell_length_a 2.9030
_cell_length_b 5.1308
_cell_length_c 14.4685
_cell_angle_alpha 90.01
_cell_angle_beta 91.81
_cell_angle_gamma 90.55
loop_
_atom_site_label
_atom_site_type_symbol
_atom_site_fract_x
_atom_site_fract_y
_atom_site_fract_z
Li1 Li 0.0000 0.0000 0.0000
Li2 Li 0.0000 0.0000 0.5000
Li3 Li 0.0055 0.3278 0.1614
Li4 Li 0.4983 0.8294 0.6663
Li5 Li 0.5000 0.5000 0.0000
Mn1 Mn 0.4944 0.1533 0.8391
Co1 Co 0.0079 0.6671 0.3324
Co2 Co 0.5000 0.5000 0.5000
O1 O 0.0066 0.3153 0.9064
O2 O 0.0172 0.3487 0.4204
O3 O 0.0180 0.9794 0.2418
O4 O 0.4742 0.4714 0.7473
O5 O 0.4904 0.8199 0.4122
O6 O 0.4974 0.1426 0.0915
```

Li7Mn2Co3O12: simulated powder diffractogram (Cu Kα), based on a cell relaxed with PBE+U.

Principal peaks in the range 2θ from 15° to 90°, in order of falling intensity:
18.3°, d = 4.850 Å, I 100, (6 0 0)
43.3°, d = 2.088 Å, I 58, (7 1 1)
35.9°, d = 2.499 Å, I 40, (1 1 1)
43.8°, d = 2.066 Å, I 28, (10 0 -2)
63.4°, d = 1.467 Å, I 16, (3 1 -3)
63.2°, d = 1.471 Å, I 15, (17 1 -1)
57.0°, d = 1.615 Å, I 12, (13 1 1)
66.9°, d = 1.398 Å, I 10, (9 1 -3)
47.8°, d = 1.902 Å, I 8, (11 1 -1)
63.7°, d = 1.461 Å, I 8, (0 2 0)
62.2°, d = 1.493 Å, I 8, (14 0 2)
37.7°, d = 2.386 Å, I 8, (5 1 -1)

```
data_Li7Mn2Co3O12
_chemical_formula_sum 'Li14 Mn4 Co6 O24'
_space_group_name_H-M_alt 'C 1 m 1'
_space_group_IT_number 8
_space_group_name_Hall 'C -2y'
_cell_length_a 29.4519
_cell_length_b 2.9218
_cell_length_c 5.0882
_cell_angle_alpha 90.00
_cell_angle_beta 98.86
_cell_angle_gamma 90.00
loop_
_atom_site_label
_atom_site_type_symbol
_atom_site_fract_x
_atom_site_fract_y
_atom_site_fract_z
Li1 Li 0.0000 0.0000 0.0000
Li2 Li 0.0006 0.5000 0.5056
Li3 Li 0.1672 0.5000 0.3407
Li4 Li 0.1698 0.0000 0.8278
Li5 Li 0.2482 0.5000 0.7546
Li6 Li 0.3239 0.0000 0.6757
Li7 Li 0.3280 0.5000 0.1665
Mn1 Mn 0.2484 0.0000 0.2544
Mn2 Mn 0.4149 0.0000 0.0868
Co1 Co 0.0821 0.0000 0.4195
Co2 Co 0.0821 0.5000 0.9198
Co3 Co 0.4149 0.5000 0.5873
O1 O 0.0421 0.0000 0.6999
O2 O 0.0426 0.5000 0.2020
O3 O 0.1191 0.0000 0.1380
O4 O 0.1200 0.5000 0.6412
O5 O 0.2095 0.0000 0.5220
O6 O 0.2118 0.5000 0.0701
O7 O 0.2858 0.5000 0.4420
O8 O 0.2876 0.0000 0.9860
O9 O 0.3777 0.5000 0.9125
O10 O 0.3796 0.0000 0.3757
O11 O 0.4516 0.0000 0.7993
O12 O 0.4527 0.5000 0.2611
```

Li7Mn2Co3O12: simulated powder diffractogram (Cu Kα), based on a cell relaxed with PBE+U.

Principal peaks in the range 2θ from 15° to 90°, in order of falling intensity:
18.3°, d = 4.857 Å, I 100, (2 0 0)
43.6°, d = 2.076 Å, I 56, (3 1 -3)
43.2°, d = 2.093 Å, I 26, (2 0 6)
36.1°, d = 2.490 Å, I 26, (1 1 -3)
62.9°, d = 1.477 Å, I 14, (5 1 3)
63.2°, d = 1.471 Å, I 14, (1 1 -9)
35.6°, d = 2.519 Å, I 12, (0 0 6)
57.3°, d = 1.607 Å, I 9, (5 1 -3)
66.4°, d = 1.408 Å, I 8, (3 1 -9)
47.6°, d = 1.909 Å, I 8, (3 1 3)
64.1°, d = 1.453 Å, I 7, (0 2 0)
62.6°, d = 1.484 Å, I 7, (6 0 -6)

```
data_Li7Mn2Co3O12
_chemical_formula_sum 'Li14 Mn4 Co6 O24'
_space_group_name_H-M_alt 'C 1 m 1'
_space_group_IT_number 8
_space_group_name_Hall 'C -2y'
_cell_length_a 9.8620
_cell_length_b 2.9059
_cell_length_c 15.3487
_cell_angle_alpha 90.00
_cell_angle_beta 100.00
_cell_angle_gamma 90.00
loop_
_atom_site_label
_atom_site_type_symbol
_atom_site_fract_x
_atom_site_fract_y
_atom_site_fract_z
Li1 Li 0.0000 0.0000 0.0000
Li2 Li 0.9999 0.5000 0.1764
Li3 Li 0.0011 0.5000 0.5045
Li4 Li 0.0027 0.0000 0.3378
Li5 Li 0.0148 0.5000 0.8521
Li6 Li 0.2499 0.0000 0.9283
Li7 Li 0.4990 0.5000 0.6845
Mn1 Mn 0.2474 0.0000 0.5925
Mn2 Mn 0.2508 0.5000 0.0889
Co1 Co 0.2475 0.5000 0.4226
Co2 Co 0.2553 0.0000 0.2608
Co3 Co 0.2618 0.5000 0.7751
O1 O 0.1347 0.5000 0.2996
O2 O 0.1353 0.5000 0.9819
O3 O 0.1357 0.0000 0.4720
O4 O 0.1375 0.5000 0.6263
O5 O 0.1377 0.0000 0.7960
O6 O 0.1464 0.0000 0.1369
O7 O 0.3567 0.0000 0.7077
O8 O 0.3583 0.5000 0.5530
O9 O 0.3623 0.0000 0.0574
O10 O 0.3665 0.5000 0.2132
O11 O 0.3677 0.0000 0.3806
O12 O 0.3787 0.5000 0.8771
```

Li4MnCo2O7: simulated powder diffractogram (Cu Kα), based on a cell relaxed with PBE+U.

Principal peaks in the range 2θ from 15° to 90°, in order of falling intensity:
18.3°, d = 4.845 Å, I 100, (1 -1 0)
43.0°, d = 2.105 Å, I 29, (2 -1 2)
43.8°, d = 2.069 Å, I 27, (0 3 -1)
44.1°, d = 2.053 Å, I 27, (2 0 -3)
35.6°, d = 2.519 Å, I 15, (1 0 2)
62.8°, d = 1.479 Å, I 15, (2 -4 3)
36.1°, d = 2.486 Å, I 13, (1 2 -1)
36.4°, d = 2.467 Å, I 12, (1 1 -3)
47.6°, d = 1.911 Å, I 9, (1 -3 3)
63.2°, d = 1.471 Å, I 8, (2 2 1)
63.4°, d = 1.467 Å, I 7, (-2 3 2)
63.7°, d = 1.460 Å, I 7, (0 1 -5)

```
data_Li4MnCo2O7
_chemical_formula_sum 'Li8 Mn2 Co4 O14'
_space_group_name_H-M_alt 'P 1'
_space_group_IT_number 1
_space_group_name_Hall 'P 1'
_cell_length_a 5.9171
_cell_length_b 6.5671
_cell_length_c 7.6845
_cell_angle_alpha 114.84
_cell_angle_beta 99.50
_cell_angle_gamma 104.14
loop_
_atom_site_label
_atom_site_type_symbol
_atom_site_fract_x
_atom_site_fract_y
_atom_site_fract_z
Li1 Li 0.0000 0.0000 0.0000
Li2 Li 0.0679 0.5806 0.7199
Li3 Li 0.2072 0.7144 0.1356
Li4 Li 0.3605 0.8578 0.5758
Li5 Li 0.5085 0.0064 0.0105
Li6 Li 0.6431 0.1490 0.4320
Li7 Li 0.7918 0.2853 0.8623
Li8 Li 0.9309 0.4180 0.2796
Mn1 Mn 0.7174 0.7180 0.1437
Mn2 Mn 0.8600 0.8549 0.5751
Co1 Co 0.1459 0.1479 0.4198
Co2 Co 0.2740 0.2802 0.8639
Co3 Co 0.4253 0.4254 0.2849
Co4 Co 0.5769 0.5769 0.7235
O1 O 0.0097 0.7883 0.3538
O2 O 0.1228 0.3602 0.0675
O3 O 0.1577 0.9267 0.7666
O4 O 0.2672 0.4940 0.4920
O5 O 0.3260 0.0945 0.2327
O6 O 0.4194 0.6530 0.9469
O7 O 0.4538 0.2383 0.6534
O8 O 0.5589 0.7724 0.3593
O9 O 0.5954 0.3742 0.0829
O10 O 0.6831 0.9077 0.7676
O11 O 0.7545 0.5233 0.5086
O12 O 0.8230 0.0508 0.2197
O13 O 0.8740 0.6436 0.9412
O14 O 0.9696 0.1921 0.6362
```